For LiMnTc2, a DFT-relaxed cell (PBE, Alexandria) gives the simulated powder diffractogram in this record (Cu Kα (weighted mean of Kα1 and Kα2)).
No peak broadening, texture or thermal motion is included.

Crystal structure
abc: 2.563 4.273 4.933
angles: 90.00 98.35 90.00
Positions (direct):
Li (0.000, 0.000, 0.000)
Mn (0.823, 0.500, 0.242)
Tc (0.307, 0.500, 0.759)
Tc (0.505, 0.000, 0.498)

Peak list (10 most intense, 2θ = 15–90°, in order of rising 2θ)
2θ (°)  intensity
18.18  64
27.75  62
35.39  16
42.30  52
42.49  49
42.67  100
43.27  93
61.51  31
77.44  15
77.62  16



For Li2MnTc, a DFT-relaxed cell (PBE, Alexandria) gives the simulated powder diffractogram in this record (Cu Kα (weighted mean of Kα1 and Kα2)).
No peak broadening, texture or thermal motion is included.

Crystal structure
abc: 2.801 4.282 9.392
angles: 90.00 90.00 90.00
Positions (direct):
Li (0.000, 0.000, 0.249)
Li (0.000, 0.000, 0.751)
Li (0.500, 0.500, 0.249)
Li (0.500, 0.500, 0.751)
Mn (0.000, 0.500, 0.500)
Mn (0.500, 0.000, 0.500)
Tc (0.000, 0.500, 0.000)
Tc (0.500, 0.000, 0.000)

Peak list (10 most intense, 2θ = 15–90°, in order of rising 2θ)
2θ (°)  intensity
18.90  100
38.38  52
42.21  16
43.13  59
46.62  18
55.38  21
58.33  12
72.63  12
77.81  9
85.37  6



For LiMn2Tc, a DFT-relaxed cell (PBE, Alexandria) gives the simulated powder diffractogram in this record (Cu Kα (weighted mean of Kα1 and Kα2)).
No peak broadening, texture or thermal motion is included.

Crystal structure
abc: 2.829 4.211 4.229
angles: 90.00 90.00 90.00
Positions (direct):
Li (0.000, 0.000, 0.000)
Mn (0.000, 0.500, 0.500)
Mn (0.500, 0.000, 0.500)
Tc (0.500, 0.500, 0.000)

Peak list (10 most intense, 2θ = 15–90°, in order of rising 2θ)
2θ (°)  intensity
21.10  35
29.94  29
31.63  12
38.28  15
42.76  27
42.96  27
44.11  100
62.22  17
79.26  16
79.53  16



For LiMnW2, a DFT-relaxed cell (PBE, Alexandria) gives the simulated powder diffractogram in this record (Cu Kα (weighted mean of Kα1 and Kα2)).
No peak broadening, texture or thermal motion is included.

Crystal structure
abc: 2.644 4.226 5.159
angles: 90.00 100.47 90.00
Positions (direct):
Li (0.000, 0.000, 0.000)
Mn (0.500, 0.000, 0.500)
W (0.237, 0.500, 0.747)
W (0.763, 0.500, 0.253)

Peak list (10 most intense, 2θ = 15–90°, in order of rising 2θ)
2θ (°)  intensity
21.02  98
35.38  27
35.83  26
41.52  69
41.88  100
42.80  32
47.26  24
56.70  14
61.39  21
75.91  17



For LiMnZn6, a DFT-relaxed cell (PBE, Alexandria) gives the simulated powder diffractogram in this record (Cu Kα (weighted mean of Kα1 and Kα2)).
No peak broadening, texture or thermal motion is included.

Crystal structure
abc: 3.868 3.868 7.637
angles: 90.00 90.00 90.00
Positions (direct):
Li (0.000, 0.000, 0.000)
Mn (0.000, 0.000, 0.500)
Zn (0.000, 0.500, 0.253)
Zn (0.000, 0.500, 0.747)
Zn (0.500, 0.000, 0.253)
Zn (0.500, 0.000, 0.747)
Zn (0.500, 0.500, 0.000)
Zn (0.500, 0.500, 0.500)

Peak list (10 most intense, 2θ = 15–90°, in order of rising 2θ)
2θ (°)  intensity
22.99  6
32.96  5
40.57  100
46.98  32
47.63  15
68.63  10
69.14  19
82.88  22
83.84  11
87.81  10



For Li23MnZn6, a DFT-relaxed cell (PBE, Alexandria) gives the simulated powder diffractogram in this record (Cu Kα (weighted mean of Kα1 and Kα2)).
No peak broadening, texture or thermal motion is included.

Crystal structure
abc: 9.006 9.006 9.006
angles: 60.00 60.00 60.00
Positions (direct):
Li (0.000, 0.000, 0.000)
Li (0.000, 0.000, 0.500)
Li (0.000, 0.500, 0.000)
Li (0.000, 0.500, 0.500)
Li (0.121, 0.626, 0.626)
Li (0.124, 0.124, 0.124)
Li (0.124, 0.124, 0.629)
Li (0.124, 0.629, 0.124)
Li (0.371, 0.876, 0.876)
Li (0.374, 0.374, 0.374)
Li (0.374, 0.374, 0.879)
Li (0.374, 0.879, 0.374)
Li (0.500, 0.000, 0.000)
Li (0.500, 0.000, 0.500)
Li (0.500, 0.500, 0.000)
Li (0.626, 0.121, 0.626)
Li (0.626, 0.626, 0.121)
Li (0.626, 0.626, 0.626)
Li (0.629, 0.124, 0.124)
Li (0.876, 0.371, 0.876)
Li (0.876, 0.876, 0.371)
Li (0.876, 0.876, 0.876)
Li (0.879, 0.374, 0.374)
Mn (0.500, 0.500, 0.500)
Zn (0.260, 0.260, 0.740)
Zn (0.260, 0.740, 0.260)
Zn (0.260, 0.740, 0.740)
Zn (0.740, 0.260, 0.260)
Zn (0.740, 0.260, 0.740)
Zn (0.740, 0.740, 0.260)

Peak list (10 most intense, 2θ = 15–90°, in order of rising 2θ)
2θ (°)  intensity
24.21  79
28.02  71
31.41  41
40.05  100
42.59  21
47.34  37
49.59  18
57.92  16
65.56  21
72.75  29



For LiZrMn3, a DFT-relaxed cell (PBE, Alexandria) gives the simulated powder diffractogram in this record (Cu Kα (weighted mean of Kα1 and Kα2)).
No peak broadening, texture or thermal motion is included.

Crystal structure
abc: 4.212 4.212 4.212
angles: 90.00 90.00 90.00
Positions (direct):
Li (0.000, 0.000, 0.000)
Zr (0.500, 0.500, 0.500)
Mn (0.000, 0.000, 0.500)
Mn (0.000, 0.500, 0.000)
Mn (0.500, 0.000, 0.000)

Peak list (10 most intense, 2θ = 15–90°, in order of rising 2θ)
2θ (°)  intensity
21.09  5
30.01  7
36.97  100
42.95  52
48.32  2
53.28  3
62.36  32
74.76  33
78.70  10
86.45  2



For Li3Mo, a DFT-relaxed cell (PBE, Alexandria) gives the simulated powder diffractogram in this record (Cu Kα (weighted mean of Kα1 and Kα2)).
No peak broadening, texture or thermal motion is included.

Crystal structure
abc: 2.457 4.654 5.611
angles: 90.00 90.00 90.00
Positions (direct):
Li (0.000, 0.000, 0.000)
Li (0.500, 0.500, 0.270)
Li (0.500, 0.500, 0.730)
Mo (0.000, 0.000, 0.500)

Peak list (10 most intense, 2θ = 15–90°, in order of rising 2θ)
2θ (°)  intensity
15.79  100
19.07  63
24.86  64
31.90  18
37.43  33
40.06  18
41.57  25
42.04  16
44.73  27
53.33  15